(1)
Starting from a GGA-PBE-relaxed structure, the X-ray powder pattern of La3In2 was calculated for Cu Kα X-rays.
Kinematic intensities with the Lorentz-polarization factor, no thermal factor.

Lattice parameters (Å, degrees): 11.0391 5.3072 7.4351 90.00 132.18 90.00
Space group C2/m (No. 12)
One atom of each set of equivalent atoms:
La (0.0000, 0.0000, 0.0000) (multiplicity 2)
La (0.1917, 0.0000, 0.6908) (multiplicity 4)
In (0.0015, 0.5000, 0.7031) (multiplicity 4)

Main lines, by intensity (10 to 90 degrees two-theta):
Position (°2θ)  d [Å]  I_rel  index
30.1  2.970  100  3 1 -1
31.3  2.854  97  1 1 -2
33.8  2.654  45  0 2 0
37.1  2.425  20  3 1 0
35.1  2.560  19  2 0 1
32.5  2.751  16  0 0 2
58.9  1.568  16  1 3 -2
58.2  1.586  15  3 3 -1
64.7  1.440  15  7 1 -2
49.5  1.842  14  2 2 1

---

(2)
Starting from a GGA-PBE-relaxed structure, the X-ray powder pattern of NdW2N6 was calculated for Cu Kα X-rays.
Kinematic intensities with the Lorentz-polarization factor, no thermal factor.

Lattice parameters (Å, degrees): 11.2740 4.0058 6.5756 90.00 117.76 90.00
Space group C2/m (No. 12)
One atom of each set of equivalent atoms:
Nd (0.0000, 0.0000, 0.0000) (multiplicity 2)
W (0.2254, 0.0000, 0.6551) (multiplicity 4)
N (0.0350, 0.0000, 0.6111) (multiplicity 4)
N (0.1419, 0.5000, 0.0570) (multiplicity 4)
N (0.2193, 0.5000, 0.6014) (multiplicity 4)

Main lines, by intensity (10 to 90 degrees two-theta):
Position (°2θ)  d [Å]  I_rel  index
32.8  2.730  100  3 1 -1
30.7  2.912  75  1 1 1
17.2  5.155  62  2 0 -1
35.7  2.513  62  1 1 -2
28.5  3.134  61  2 0 1
27.4  3.259  61  2 0 -2
17.8  4.988  43  2 0 0
23.9  3.717  43  1 1 0
26.1  3.413  37  1 1 -1
36.0  2.494  36  4 0 0

---

(3)
Starting from a GGA-PBE-relaxed structure, the X-ray powder pattern of Ca5PrTl6 was calculated for Cu Kα X-rays.
Kinematic intensities with the Lorentz-polarization factor, no thermal factor.

Lattice parameters (Å, degrees): 5.4872 16.5085 7.8292 90.00 90.00 90.00
Space group Cmmm (No. 65)
One atom of each set of equivalent atoms:
Ca (0.0000, 0.0000, 0.0000) (multiplicity 2)
Ca (0.0000, 0.3308, 0.5000) (multiplicity 4)
Ca (0.0000, 0.3331, 0.0000) (multiplicity 4)
Pr (0.0000, 0.0000, 0.5000) (multiplicity 2)
Tl (0.0000, 0.1666, 0.2450) (multiplicity 8)
Tl (0.0000, 0.5000, 0.2452) (multiplicity 4)

Main lines, by intensity (10 to 90 degrees two-theta):
Position (°2θ)  d [Å]  I_rel  index
32.5  2.756  100  0 6 0
22.9  3.886  28  1 3 0
32.6  2.744  20  2 0 0
57.8  1.594  15  2 0 4
58.0  1.590  15  1 9 2
58.1  1.587  15  3 3 2
46.8  1.943  15  2 6 0
22.7  3.915  14  0 0 2
40.1  2.249  14  2 0 2
77.6  1.230  10  2 12 0